Structure and computed powder diffractogram of HoPaO4 (a DFT-relaxed cell (PBE, the Materials Project); Cu Ka).

Structural model:
```
6
Lattice="3.804 0.000 0.000 0.000 3.804 0.000 0.000 0.000 5.374" Properties=species:S:1:pos:R:3 pbc="T T T"
Ho 0.000 0.000 0.000
Pa 1.902 1.902 2.687
O 0.000 1.902 1.390
O 0.000 1.902 3.984
O 1.902 0.000 1.390
O 1.902 0.000 3.984
```

Largest 8 diffraction maxima, low angle first, 2θ = 10–90°:
hkl  2θ (°)  d (Å)  intensity
1 0 1  28.75  3.105  100
0 0 2  33.32  2.689  35
2 0 0  47.84  1.901  50
2 1 1  56.78  1.621  46
2 0 2  59.55  1.552  10
3 0 1  77.35  1.234  19
1 1 4  79.75  1.202  14
3 1 2  89.23  1.098  17